Entry 1:
The following is a theoretical powder diffractogram of Li6Mn2O5F2. It was derived from a cell relaxed with PBE+U, using Cu Kα (weighted mean of Kα1 and Kα2).
Peak positions follow from Bragg's law for the DFT cell and can differ from measured ones.

Principal peaks in the range 15 to 90 degrees two-theta, low angle first:
d_spacing	intensity
5.127	100
4.802	55
4.533	43
3.850	15
3.795	23
3.567	27
3.476	14
3.309	26
2.155	49
2.144	50
2.024	42
1.509	15

```
data_Li6Mn2O5F2
_cell_length_a 5.8689
_cell_length_b 5.8821
_cell_length_c 9.9696
_cell_angle_alpha 95.98
_cell_angle_beta 93.43
_cell_angle_gamma 118.19
_space_group_name_H-M_alt 'P -1'
_space_group_IT_number 2
_space_group_name_Hall '-P 1'
loop_
_atom_site_label
_atom_site_fract_x
_atom_site_fract_y
_atom_site_fract_z
Li1 0.0255 0.3638 0.3930
Li2 0.1693 0.0834 0.1076
Li3 0.1912 0.6289 0.0917
Li4 0.2914 0.3651 0.9060
Li5 0.4039 0.6016 0.5771
Li6 0.4238 0.0883 0.6038
Mn1 0.0541 0.8860 0.3765
Mn2 0.2987 0.8831 0.8778
O1 0.0029 0.7419 0.9724
O2 0.1418 0.0196 0.7524
O3 0.2355 0.7510 0.4745
O4 0.2475 0.2330 0.4807
O5 0.4856 0.7496 0.9833
F1 0.1682 0.4959 0.7287
F2 0.3740 0.9641 0.2309
```


Entry 2:
The following is a theoretical powder diffractogram of Li3MnO2F2. It was derived from a cell relaxed with PBE+U, using Cu Kα (weighted mean of Kα1 and Kα2).
Peak positions follow from Bragg's law for the DFT cell and can differ from measured ones.

Principal peaks in the range 15 to 90 degrees two-theta, low angle first:
d_spacing	intensity
4.853	73
3.773	78
3.371	25
2.551	25
2.290	10
2.249	25
2.128	100
2.037	42
1.509	14
1.500	13
1.472	48
1.208	10

```
data_Li3MnO2F2
_cell_length_a 5.0734
_cell_length_b 6.0010
_cell_length_c 5.0679
_cell_angle_alpha 90.00
_cell_angle_beta 106.93
_cell_angle_gamma 90.00
_space_group_name_H-M_alt 'P 1 2/c 1'
_space_group_IT_number 13
_space_group_name_Hall '-P 2yc'
loop_
_atom_site_label
_atom_site_fract_x
_atom_site_fract_y
_atom_site_fract_z
Li1 0.0000 0.1124 0.2500
Li2 0.0000 0.3605 0.7500
Li3 0.5000 0.3673 0.2500
Mn1 0.5000 0.1117 0.7500
O1 0.2664 0.1196 0.9848
F1 0.2515 0.3813 0.5048
```


Entry 3:
The following is a theoretical powder diffractogram of LiMn6O4F8. It was derived from a cell relaxed with PBE+U, using Cu Kα (weighted mean of Kα1 and Kα2).
Peak positions follow from Bragg's law for the DFT cell and can differ from measured ones.

Principal peaks in the range 15 to 90 degrees two-theta, low angle first:
d_spacing	intensity
3.608	100
3.348	72
2.692	38
2.676	30
2.667	29
2.395	21
1.859	24
1.840	20
1.836	25
1.804	16
1.769	13
1.601	19

```
data_LiMn6O4F8
_cell_length_a 4.9878
_cell_length_b 5.8098
_cell_length_c 8.0518
_cell_angle_alpha 86.14
_cell_angle_beta 87.50
_cell_angle_gamma 86.36
_space_group_name_H-M_alt 'P 1'
_space_group_IT_number 1
_space_group_name_Hall 'P 1'
loop_
_atom_site_label
_atom_site_fract_x
_atom_site_fract_y
_atom_site_fract_z
Li1 0.0000 0.0000 0.0000
Mn1 0.0003 0.9667 0.5375
Mn2 0.1398 0.6029 0.8579
Mn3 0.4785 0.1264 0.8726
Mn4 0.5114 0.8049 0.1944
Mn5 0.5134 0.4646 0.5342
Mn6 0.9993 0.3326 0.2233
O1 0.1806 0.2915 0.9768
O2 0.2138 0.6730 0.6204
O3 0.3425 0.8426 0.9604
O4 0.8128 0.2701 0.4520
F1 0.1795 0.9936 0.2957
F2 0.3143 0.1651 0.6247
F3 0.3458 0.4944 0.2994
F4 0.6366 0.4199 0.7807
F5 0.6994 0.1220 0.1128
F6 0.7051 0.7623 0.4318
F7 0.8246 0.9561 0.7888
F8 0.8736 0.6504 0.0889
```